For Ag2MoAs, a PBE-relaxed structure gives the theoretical powder diffractogram in this record (λ = 1.5418 Å (Cu Kα)).
No peak broadening, texture or thermal motion is included.

Largest 10 diffraction maxima, low angle first, 10° ≤ 2θ ≤ 90°:
2theta	I_rel
18.63	22
36.18	13
37.83	1000
43.96	483
48.13	5
63.92	303
76.71	267
76.78	89
80.70	26
80.87	78

Structural model:
Cell: 2.9110 2.9110 28.5771 Å, 90.00 90.00 120.00°
Space group R-3m (No. 166, hexagonal axes)
Unique sites:
Ag 0.0000 0.0000 0.2504 (multiplicity 6)
Mo 0.0000 0.0000 0.0000 (multiplicity 3)
As 0.0000 0.0000 0.5000 (multiplicity 3)